No. 1
Simulated powder diffraction line list of NdMgSn2Pd4 for Cu Kα (weighted mean of Kα1 and Kα2), from a structure optimized by DFT (GGA-PBE).
No peak broadening, texture or thermal motion is included.

Most intense lines, 2θ = 10–90°, in order of rising 2θ:
| d (Å) | Position (°2θ) | I/Imax |
| --- | --- | --- |
| 4.221 | 21.0 | 6.5 |
| 3.134 | 28.5 | 21.7 |
| 2.680 | 33.4 | 17.6 |
| 2.480 | 36.2 | 87.1 |
| 2.304 | 39.1 | 100.0 |
| 1.994 | 45.5 | 9.0 |
| 1.688 | 54.4 | 30.1 |
| 1.362 | 69.0 | 35.2 |
| 1.330 | 70.9 | 17.3 |
| 1.152 | 84.0 | 11.1 |

Cell and atoms:
```
NdMgSn2Pd4
1.0
2.304 1.330 8.442
-2.304 1.330 8.442
0.000 -2.660 8.442
Nd Mg Sn Pd
1 1 2 4
Direct
0.000 0.000 0.000
0.500 0.500 0.500
0.245 0.245 0.245
0.755 0.755 0.755
0.132 0.132 0.132
0.396 0.396 0.396
0.604 0.604 0.604
0.868 0.868 0.868
```


No. 2
Simulated powder diffraction line list of Tb5Pm3Ho for Cu Kα (weighted mean of Kα1 and Kα2), from a structure optimized by DFT (GGA-PBE).
No peak broadening, texture or thermal motion is included.

Most intense lines, 2θ = 10–90°, in order of rising 2θ:
| d (Å) | Position (°2θ) | I/Imax |
| --- | --- | --- |
| 3.100 | 28.8 | 82.5 |
| 3.014 | 29.6 | 100.0 |
| 2.932 | 30.5 | 51.0 |
| 2.902 | 30.8 | 83.4 |
| 2.830 | 31.6 | 98.3 |
| 2.785 | 32.1 | 35.5 |
| 2.702 | 33.2 | 37.7 |
| 2.648 | 33.8 | 67.4 |
| 2.541 | 35.3 | 55.6 |
| 2.497 | 36.0 | 43.9 |

Cell and atoms:
```
Tb5Pm3Ho
1.0
10.055 -3.088 0.000
10.055 3.088 0.000
-6.217 0.000 9.803
Tb Pm Ho
10 6 2
Direct
0.040 0.683 0.354
0.069 0.931 0.750
0.126 0.517 0.666
0.317 0.960 0.146
0.483 0.874 0.834
0.517 0.126 0.166
0.683 0.040 0.854
0.874 0.483 0.334
0.931 0.069 0.250
0.960 0.317 0.646
0.100 0.539 0.967
0.461 0.900 0.533
0.500 0.500 0.000
0.500 0.500 0.500
0.539 0.100 0.467
0.900 0.461 0.033
0.421 0.579 0.250
0.579 0.421 0.750
```


Repeat the second record exactly.
Simulated powder diffraction line list of Tb5Pm3Ho for Cu Kα (weighted mean of Kα1 and Kα2), from a structure optimized by DFT (GGA-PBE).
No peak broadening, texture or thermal motion is included.

Most intense lines, 2θ = 10–90°, in order of rising 2θ:
| d (Å) | Position (°2θ) | I/Imax |
| --- | --- | --- |
| 3.100 | 28.8 | 82.5 |
| 3.014 | 29.6 | 100.0 |
| 2.932 | 30.5 | 51.0 |
| 2.902 | 30.8 | 83.4 |
| 2.830 | 31.6 | 98.3 |
| 2.785 | 32.1 | 35.5 |
| 2.702 | 33.2 | 37.7 |
| 2.648 | 33.8 | 67.4 |
| 2.541 | 35.3 | 55.6 |
| 2.497 | 36.0 | 43.9 |

Cell and atoms:
```
Tb5Pm3Ho
1.0
10.055 -3.088 0.000
10.055 3.088 0.000
-6.217 0.000 9.803
Tb Pm Ho
10 6 2
Direct
0.040 0.683 0.354
0.069 0.931 0.750
0.126 0.517 0.666
0.317 0.960 0.146
0.483 0.874 0.834
0.517 0.126 0.166
0.683 0.040 0.854
0.874 0.483 0.334
0.931 0.069 0.250
0.960 0.317 0.646
0.100 0.539 0.967
0.461 0.900 0.533
0.500 0.500 0.000
0.500 0.500 0.500
0.539 0.100 0.467
0.900 0.461 0.033
0.421 0.579 0.250
0.579 0.421 0.750
```